No. 1
Calculated powder XRD pattern of Hf3Zr3Ga2Fe for Cu Kα (λ = 1.5418 Å), from a structure optimized by DFT (GGA-PBE).
Neutral-atom scattering factors, no anomalous dispersion.

Structural model:
a b c (Å): 7.791 7.791 3.348
angles (deg): 90.00 90.00 120.00
Sites, in units of the cell vectors:
Hf  0.000  0.753  0.000
Hf  0.247  0.247  0.000
Hf  0.753  0.000  0.000
Zr  0.000  0.400  0.500
Zr  0.400  0.000  0.500
Zr  0.600  0.600  0.500
Ga  0.333  0.667  0.000
Ga  0.667  0.333  0.000
Fe  0.000  0.000  0.500

Principal peaks in the range 2θ = 10–90°, low angle first:
| 2θ (°) | I_rel |
| --- | --- |
| 13.12 | 22 |
| 35.19 | 95 |
| 35.35 | 100 |
| 37.86 | 59 |
| 40.09 | 31 |
| 44.67 | 51 |
| 54.85 | 16 |
| 66.56 | 34 |
| 66.86 | 29 |
| 69.75 | 16 |

***

No. 2
Calculated powder XRD pattern of Ho2InGaFe4 for Cu Kα (λ = 1.5418 Å), from a structure optimized by DFT (GGA-PBE).
Neutral-atom scattering factors, no anomalous dispersion.

Structural model:
a b c (Å): 3.972 4.977 7.016
angles (deg): 90.00 90.00 90.00
Sites, in units of the cell vectors:
Ho  0.000  0.000  0.000
Ho  0.000  0.500  0.393
In  0.500  0.000  0.351
Ga  0.500  0.500  0.030
Fe  0.000  0.000  0.617
Fe  0.000  0.500  0.793
Fe  0.500  0.251  0.704
Fe  0.500  0.749  0.704

Principal peaks in the range 2θ = 10–90°, low angle first:
| 2θ (°) | I_rel |
| --- | --- |
| 31.51 | 100 |
| 34.10 | 15 |
| 36.10 | 28 |
| 38.49 | 29 |
| 38.73 | 80 |
| 42.89 | 18 |
| 44.65 | 18 |
| 45.68 | 30 |
| 61.20 | 19 |
| 66.66 | 18 |

***

No. 3
Calculated powder XRD pattern of HoGa2FePt4 for Cu Kα (λ = 1.5418 Å), from a structure optimized by DFT (GGA-PBE).
Neutral-atom scattering factors, no anomalous dispersion.

Structural model:
a b c (Å): 4.363 4.363 6.871
angles (deg): 90.00 90.00 90.00
Sites, in units of the cell vectors:
Ho  0.000  0.000  0.000
Ga  0.000  0.000  0.500
Ga  0.500  0.500  0.000
Fe  0.500  0.500  0.500
Pt  0.000  0.500  0.277
Pt  0.000  0.500  0.723
Pt  0.500  0.000  0.277
Pt  0.500  0.000  0.723

Principal peaks in the range 2θ = 10–90°, low angle first:
| 2θ (°) | I_rel |
| --- | --- |
| 28.94 | 14 |
| 31.79 | 8 |
| 39.25 | 100 |
| 41.39 | 45 |
| 49.52 | 8 |
| 53.33 | 8 |
| 59.97 | 15 |
| 69.67 | 14 |
| 74.05 | 33 |
| 84.40 | 8 |

***

No. 4
Calculated powder XRD pattern of HoScGa2Fe4 for Cu Kα (λ = 1.5418 Å), from a structure optimized by DFT (GGA-PBE).
Neutral-atom scattering factors, no anomalous dispersion.

Structural model:
a b c (Å): 4.170 4.170 8.844
angles (deg): 90.00 90.00 120.00
Sites, in units of the cell vectors:
Ho  0.000  0.000  0.000
Sc  0.667  0.333  0.500
Ga  0.333  0.667  0.262
Ga  0.333  0.667  0.738
Fe  0.000  0.000  0.309
Fe  0.000  0.000  0.691
Fe  0.667  0.333  0.216
Fe  0.667  0.333  0.784

Principal peaks in the range 2θ = 10–90°, low angle first:
| 2θ (°) | I_rel |
| --- | --- |
| 10.00 | 23 |
| 24.65 | 21 |
| 26.66 | 39 |
| 32.00 | 50 |
| 39.46 | 85 |
| 40.81 | 22 |
| 43.40 | 100 |
| 60.09 | 23 |
| 61.09 | 38 |
| 76.99 | 22 |

***

No. 5
Calculated powder XRD pattern of HoTmGa2Fe4 for Cu Kα (λ = 1.5418 Å), from a structure optimized by DFT (GGA-PBE).
Neutral-atom scattering factors, no anomalous dispersion.

Structural model:
a b c (Å): 3.929 4.929 6.788
angles (deg): 90.00 90.00 90.00
Sites, in units of the cell vectors:
Ho  0.000  0.000  0.000
Tm  0.000  0.500  0.373
Ga  0.500  0.000  0.353
Ga  0.500  0.500  0.020
Fe  0.000  0.000  0.590
Fe  0.000  0.500  0.781
Fe  0.500  0.250  0.686
Fe  0.500  0.750  0.686

Principal peaks in the range 2θ = 10–90°, low angle first:
| 2θ (°) | I_rel |
| --- | --- |
| 31.98 | 100 |
| 36.46 | 26 |
| 39.57 | 80 |
| 39.84 | 26 |
| 43.34 | 24 |
| 45.48 | 23 |
| 46.21 | 29 |
| 60.27 | 18 |
| 62.57 | 27 |
| 67.70 | 16 |

***

No. 6
Calculated powder XRD pattern of LaGa8Fe2 for Cu Kα (λ = 1.5418 Å), from a structure optimized by DFT (GGA-PBE).
Neutral-atom scattering factors, no anomalous dispersion.

Structural model:
a b c (Å): 12.536 14.359 4.079
angles (deg): 90.00 90.00 90.00
Sites, in units of the cell vectors:
La  0.157  0.181  0.000
La  0.343  0.681  0.000
La  0.657  0.319  0.000
La  0.843  0.819  0.000
Ga  0.000  0.000  0.000
Ga  0.000  0.500  0.500
Ga  0.025  0.867  0.500
Ga  0.048  0.319  0.500
Ga  0.097  0.745  0.000
Ga  0.163  0.621  0.500
Ga  0.164  0.454  0.000
Ga  0.168  0.009  0.500
Ga  0.238  0.827  0.500
Ga  0.262  0.327  0.500
Ga  0.332  0.509  0.500
Ga  0.336  0.954  0.000
Ga  0.337  0.121  0.500
Ga  0.403  0.245  0.000
Ga  0.452  0.819  0.500
Ga  0.475  0.367  0.500
Ga  0.500  0.000  0.500
Ga  0.500  0.500  0.000
Ga  0.525  0.633  0.500
Ga  0.548  0.181  0.500
Ga  0.597  0.755  0.000
Ga  0.663  0.879  0.500
Ga  0.664  0.046  0.000
Ga  0.668  0.491  0.500
Ga  0.738  0.673  0.500
Ga  0.762  0.173  0.500
Ga  0.832  0.991  0.500
Ga  0.836  0.546  0.000
Ga  0.837  0.379  0.500
Ga  0.903  0.255  0.000
Ga  0.952  0.681  0.500
Ga  0.975  0.133  0.500
Fe  0.034  0.590  0.000
Fe  0.152  0.903  0.000
Fe  0.348  0.403  0.000
Fe  0.466  0.090  0.000
Fe  0.534  0.910  0.000
Fe  0.652  0.597  0.000
Fe  0.848  0.097  0.000
Fe  0.966  0.410  0.000

Principal peaks in the range 2θ = 10–90°, low angle first:
| 2θ (°) | I_rel |
| --- | --- |
| 34.03 | 77 |
| 36.04 | 100 |
| 36.14 | 26 |
| 36.70 | 39 |
| 38.02 | 25 |
| 44.06 | 30 |
| 44.24 | 60 |
| 44.42 | 69 |
| 46.59 | 31 |
| 66.32 | 21 |

***

No. 7
Calculated powder XRD pattern of LaNd2Ga2Fe4 for Cu Kα (λ = 1.5418 Å), from a structure optimized by DFT (GGA-PBE).
Neutral-atom scattering factors, no anomalous dispersion.

Structural model:
a b c (Å): 5.573 5.573 8.215
angles (deg): 99.32 99.32 44.56
Sites, in units of the cell vectors:
La  0.000  0.000  0.000
Nd  0.373  0.373  0.620
Nd  0.627  0.627  0.380
Ga  0.325  0.325  0.226
Ga  0.675  0.675  0.774
Fe  0.080  0.080  0.634
Fe  0.243  0.243  0.923
Fe  0.757  0.757  0.077
Fe  0.920  0.920  0.366

Principal peaks in the range 2θ = 10–90°, low angle first:
| 2θ (°) | I_rel |
| --- | --- |
| 26.01 | 86 |
| 30.58 | 40 |
| 30.75 | 81 |
| 33.93 | 100 |
| 34.84 | 43 |
| 35.15 | 55 |
| 38.05 | 50 |
| 41.99 | 70 |
| 42.79 | 72 |
| 63.16 | 36 |

***

No. 8
Calculated powder XRD pattern of LaPr2Ga2Fe4 for Cu Kα (λ = 1.5418 Å), from a structure optimized by DFT (GGA-PBE).
Neutral-atom scattering factors, no anomalous dispersion.

Structural model:
a b c (Å): 5.615 5.615 8.250
angles (deg): 99.55 99.55 44.42
Sites, in units of the cell vectors:
La  0.000  0.000  0.000
Pr  0.373  0.373  0.621
Pr  0.627  0.627  0.379
Ga  0.325  0.325  0.224
Ga  0.675  0.675  0.776
Fe  0.081  0.081  0.635
Fe  0.242  0.242  0.923
Fe  0.758  0.758  0.077
Fe  0.919  0.919  0.365

Principal peaks in the range 2θ = 10–90°, low angle first:
| 2θ (°) | I_rel |
| --- | --- |
| 25.91 | 87 |
| 30.47 | 40 |
| 30.60 | 83 |
| 33.71 | 100 |
| 34.62 | 44 |
| 34.84 | 57 |
| 37.77 | 51 |
| 41.85 | 72 |
| 42.59 | 74 |
| 62.76 | 38 |